Record 1
# ReOs2Ru5
Computed powder diffraction line list, Cu Ka. Input: a DFT-relaxed cell (PBE, Alexandria).

Cell and atoms:
```
ReOs2Ru5
1.0
0.0000 4.3221 4.7632
2.7384 0.0000 4.7632
2.7384 4.3221 0.0000
Re Os Ru
1 2 5
Direct
0.0000 0.0000 0.0000 Re
0.4138 0.9164 0.0836 Os
0.9164 0.4138 0.5862 Os
0.4162 0.4162 0.0838 Ru
0.4989 0.9975 0.5011 Ru
0.5004 0.5004 0.4996 Ru
0.9162 0.9162 0.5838 Ru
0.9975 0.4989 0.0025 Ru
```

Main lines, low angle first (2θ = 10–90°):
2θ/deg  Rel. int.
37.77  12
37.90  25
41.80  37
43.38  51
43.49  100
57.65  22
68.29  17
68.53  9
77.47  27
83.37  20
83.60  10
84.68  15

=====

Record 2
# Li3Pu3NpS8
Computed powder diffraction line list, Cu Ka. Input: a DFT-relaxed cell (PBE, Alexandria).

Cell and atoms:
```
Li3Pu3NpS8
1.0
4.0004 2.3097 6.0663
-4.0004 2.3097 6.0663
0.0000 -4.6193 6.0663
Li Pu Np S
3 3 1 8
Direct
0.0000 0.5000 0.5000 Li
0.5000 0.0000 0.5000 Li
0.5000 0.5000 0.0000 Li
0.0000 0.0000 0.5000 Pu
0.0000 0.5000 0.0000 Pu
0.5000 0.0000 0.0000 Pu
0.5000 0.5000 0.5000 Np
0.2485 0.2485 0.2485 S
0.2561 0.2561 0.7433 S
0.2561 0.7433 0.2561 S
0.2567 0.7439 0.7439 S
0.7433 0.2561 0.2561 S
0.7439 0.2567 0.7439 S
0.7439 0.7439 0.2567 S
0.7515 0.7515 0.7515 S
```

Main lines, low angle first (2θ = 10–90°):
2θ/deg  Rel. int.
14.60  100
26.18  76
27.55  36
32.48  79
35.78  34
43.52  21
45.34  31
47.86  58
54.99  13
56.88  16
75.56  14
85.59  17

=====

Record 3
# Mg6Cd3In2
Computed powder diffraction line list, Cu Ka. Input: a DFT-relaxed cell (PBE, Alexandria).

Cell and atoms:
```
Mg6Cd3In2
1.0
-2.3081 2.3081 13.2876
2.3081 -2.3081 13.2876
2.3081 2.3081 -13.2876
Mg Cd In
6 3 2
Direct
0.0641 0.5641 0.5000 Mg
0.2419 0.2419 0.0000 Mg
0.4359 0.9359 0.5000 Mg
0.5641 0.0641 0.5000 Mg
0.7581 0.7581 0.0000 Mg
0.9359 0.4359 0.5000 Mg
0.0000 0.0000 0.0000 Cd
0.1371 0.1371 0.0000 Cd
0.8629 0.8629 0.0000 Cd
0.3513 0.3513 0.0000 In
0.6487 0.6487 0.0000 In
```

Main lines, low angle first (2θ = 10–90°):
2θ/deg  Rel. int.
13.33  60
19.52  27
20.05  28
27.32  100
30.51  37
34.12  73
36.11  28
38.67  83
39.02  74
47.97  29
63.46  27
70.46  26